Starting from a crystal structure in Alexandria, relaxed with PBE, the XRD peak list of Tm8Mg2Cd was computed for λ = 1.5418 Å (Cu Kα).
No peak broadening, texture or thermal motion is included.

Structural model:
Cell lengths 8.656, 14.983, 5.475 Å; angles 90.00, 115.77, 90.00 degrees
Space group C2/m (No. 12)
Unique sites:
Tm  0.000  0.209  0.000 x4
Tm  0.103  0.500  0.803 x4
Tm  0.213  0.113  0.628 x8
Mg  0.000  0.305  0.500 x4
Cd  0.000  0.000  0.000 x2

The 12 most intense peaks (2θ from 10° to 90°), low angle first:
2θ = 21.1°, I = 43, (1 3 0)
2θ = 25.1°, I = 24, (2 2 -1)
2θ = 30.0°, I = 72, (0 4 1)
2θ = 31.0°, I = 38, (1 3 1)
2θ = 31.7°, I = 100, (3 1 -1)
2θ = 33.2°, I = 73, (2 4 0)
2θ = 33.6°, I = 90, (1 1 -2)
2θ = 34.3°, I = 91, (1 5 -1)
2θ = 35.0°, I = 64, (2 0 1)
2θ = 46.2°, I = 26, (3 5 0)
2θ = 53.2°, I = 25, (1 5 2)
2θ = 64.7°, I = 27, (3 9 -1)